Starting from a structure optimized by DFT (PBE), the powder diffractogram of Cs2AgHF6 was simulated for Cu Kα X-rays.
Kinematic intensities with the Lorentz-polarization factor, no thermal factor.

Largest 10 diffraction maxima, in order of falling intensity, 10° ≤ 2θ ≤ 80°:
(1 1 0), 2θ = 30.20°, I = 100
(0 1 8), 2θ = 26.89°, I = 86
(0 1 5), 2θ = 21.53°, I = 61
(2 0 5), 2θ = 37.39°, I = 39
(1 1 18), 2θ = 56.92°, I = 32
(0 2 7), 2θ = 39.56°, I = 32
(1 0 7), 2θ = 24.96°, I = 28
(2 0 8), 2θ = 40.87°, I = 28
(1 0 13), 2θ = 37.94°, I = 24
(1 0 10), 2θ = 31.08°, I = 22

Atomic structure:
a b c (Å): 5.9196 5.9196 34.7719
angles (deg): 90.00 90.00 120.00
Space group R-3m (No. 166, hexagonal axes)
One atom of each set of equivalent atoms:
Cs 0.0000 0.0000 0.1194 [6 per cell]
Cs 0.0000 0.0000 0.2776 [6 per cell]
Ag 0.0000 0.0000 0.0000 [3 per cell]
Ag 0.0000 0.0000 0.5000 [3 per cell]
H 0.0000 0.0000 0.3658 [6 per cell]
F 0.0066 0.5033 0.1335 [18 per cell]
F 0.0601 0.5300 0.3002 [18 per cell]